Computed PXRD pattern
Compound: LaYHo2Te6
Radiation: CuKα
Structure: a crystal structure in Alexandria, relaxed with PBE
Intensities are scaled so that the largest is 100.

Structure:
Cell: 8.3534 8.3534 8.3534 Å, 55.72 55.72 55.72°
Fractional coordinates of all 10 atoms:
La 0.0000 0.0000 0.0000
Y 0.4949 0.4949 0.4949
Ho 0.3059 0.3059 0.3059
Ho 0.8089 0.8089 0.8089
Te 0.0831 0.6902 0.4252
Te 0.2104 0.5799 0.9050
Te 0.4252 0.0831 0.6902
Te 0.5799 0.9050 0.2104
Te 0.6902 0.4252 0.0831
Te 0.9050 0.2104 0.5799

Top 10 peaks for 5 to 70 degrees two-theta, by angle:
two_theta, I (rel.)
15.57, 38
21.37, 24
26.11, 100
31.43, 24
34.32, 92
39.17, 18
40.00, 61
45.11, 22
53.71, 23
69.03, 21

***

Computed PXRD pattern
Compound: La2Ho6Th3
Radiation: CuKα
Structure: a crystal structure in Alexandria, relaxed with PBE
Intensities are scaled so that the largest is 100.

Structure:
Cell: 6.2093 6.2093 11.3998 Å, 91.06 91.06 121.10°
Fractional coordinates of all 11 atoms:
La 0.1514 0.8486 0.0000
La 0.8486 0.1514 0.0000
Ho 0.1467 0.1467 0.2624
Ho 0.1931 0.5209 0.7460
Ho 0.4791 0.8069 0.2540
Ho 0.5209 0.1931 0.7460
Ho 0.8069 0.4791 0.2540
Ho 0.8533 0.8533 0.7376
Th 0.1680 0.8320 0.5000
Th 0.5000 0.5000 0.5000
Th 0.8320 0.1680 0.5000

Top 10 peaks for 5 to 70 degrees two-theta, by angle:
two_theta, I (rel.)
7.76, 92
29.69, 66
30.62, 41
31.41, 78
32.59, 100
33.13, 82
33.85, 28
37.10, 28
37.79, 41
51.60, 37

***

Computed PXRD pattern
Compound: La6Ho2Th
Radiation: CuKα
Structure: a crystal structure in Alexandria, relaxed with PBE
Intensities are scaled so that the largest is 100.

Structure:
Cell: 3.6568 3.6568 27.5664 Å, 90.00 90.00 120.00°
Fractional coordinates of all 9 atoms:
La 0.0000 0.0000 0.0667
La 0.0000 0.0000 0.2767
La 0.0000 0.0000 0.7233
La 0.0000 0.0000 0.9333
La 0.3333 0.6667 0.3925
La 0.3333 0.6667 0.6075
Ho 0.3333 0.6667 0.1704
Ho 0.3333 0.6667 0.8296
Th 0.0000 0.0000 0.5000

Top 10 peaks for 5 to 70 degrees two-theta, by angle:
two_theta, I (rel.)
9.63, 15
28.18, 45
29.16, 48
31.08, 68
32.61, 100
40.99, 30
49.88, 36
54.91, 31
58.82, 40
60.86, 18

***

Computed PXRD pattern
Compound: La2Ho4Th5
Radiation: CuKα
Structure: a crystal structure in Alexandria, relaxed with PBE
Intensities are scaled so that the largest is 100.

Structure:
Cell: 8.8335 3.4749 11.7682 Å, 90.00 94.18 90.00°
Fractional coordinates of all 11 atoms:
La 0.0522 0.0000 0.1340
La 0.9478 0.0000 0.8660
Ho 0.1609 0.5000 0.4081
Ho 0.3137 0.5000 0.9425
Ho 0.6863 0.5000 0.0575
Ho 0.8391 0.5000 0.5919
Th 0.2051 0.0000 0.6754
Th 0.4179 0.0000 0.2148
Th 0.5000 0.0000 0.5000
Th 0.5821 0.0000 0.7852
Th 0.7949 0.0000 0.3246

Top 10 peaks for 5 to 70 degrees two-theta, by angle:
two_theta, I (rel.)
25.62, 29
29.88, 41
30.84, 100
31.23, 53
31.42, 99
31.68, 95
31.96, 41
34.07, 36
56.63, 29
62.29, 31

***

Computed PXRD pattern
Compound: La8Ho3Th
Radiation: CuKα
Structure: a crystal structure in Alexandria, relaxed with PBE
Intensities are scaled so that the largest is 100.

Structure:
Cell: 9.1021 9.1021 6.4741 Å, 110.68 110.68 58.78°
Fractional coordinates of all 12 atoms:
La 0.0697 0.0697 0.3213
La 0.1613 0.1839 0.9054
La 0.4848 0.0163 0.3456
La 0.5100 0.2380 0.8811
La 0.7620 0.4900 0.1189
La 0.8161 0.8387 0.0946
La 0.9303 0.9303 0.6787
La 0.9837 0.5152 0.6544
Ho 0.2337 0.5214 0.3569
Ho 0.3123 0.6877 0.0000
Ho 0.4786 0.7663 0.6431
Th 0.6888 0.3112 0.5000

Top 10 peaks for 5 to 70 degrees two-theta, by angle:
two_theta, I (rel.)
24.98, 8
29.98, 100
30.55, 31
30.65, 28
31.79, 7
33.11, 9
34.21, 18
39.58, 13
41.66, 9
56.94, 8

***

Computed PXRD pattern
Compound: LaHo4Th3
Radiation: CuKα
Structure: a crystal structure in Alexandria, relaxed with PBE
Intensities are scaled so that the largest is 100.

Structure:
Cell: 7.9450 7.9450 6.1993 Å, 105.06 105.06 126.48°
Fractional coordinates of all 8 atoms:
La 0.0000 0.0000 0.0000
Ho 0.2536 0.7464 0.0000
Ho 0.3751 0.6249 0.5000
Ho 0.6249 0.3751 0.5000
Ho 0.7464 0.2536 0.0000
Th 0.1236 0.8764 0.5000
Th 0.5000 0.5000 0.0000
Th 0.8764 0.1236 0.5000

Top 10 peaks for 5 to 70 degrees two-theta, by angle:
two_theta, I (rel.)
30.60, 100
30.78, 98
35.46, 34
35.64, 67
51.14, 61
60.67, 15
60.80, 44
61.13, 28
63.70, 13
64.11, 12

***

Computed PXRD pattern
Compound: La5HoTh2
Radiation: CuKα
Structure: a crystal structure in Alexandria, relaxed with PBE
Intensities are scaled so that the largest is 100.

Structure:
Cell: 3.6207 8.9409 17.6666 Å, 90.00 99.35 90.00°
Fractional coordinates of all 16 atoms:
La 0.0000 0.0429 0.2500
La 0.0000 0.9571 0.7500
La 0.1783 0.3098 0.9493
La 0.1783 0.6902 0.4493
La 0.2082 0.3499 0.3567
La 0.2082 0.6501 0.8567
La 0.7918 0.3499 0.1433
La 0.7918 0.6501 0.6433
La 0.8217 0.3098 0.5507
La 0.8217 0.6902 0.0507
Ho 0.5000 0.3078 0.7500
Ho 0.5000 0.6922 0.2500
Th 0.3256 0.0141 0.0849
Th 0.3256 0.9859 0.5849
Th 0.6744 0.0141 0.4151
Th 0.6744 0.9859 0.9151

Top 10 peaks for 5 to 70 degrees two-theta, by angle:
two_theta, I (rel.)
9.89, 54
27.46, 56
28.91, 54
29.98, 95
30.24, 100
31.33, 56
32.40, 40
32.57, 47
34.98, 80
35.94, 55

***

Computed PXRD pattern
Compound: La4Ho6Th
Radiation: CuKα
Structure: a crystal structure in Alexandria, relaxed with PBE
Intensities are scaled so that the largest is 100.

Structure:
Cell: 5.6753 5.6753 26.1168 Å, 90.00 90.00 118.44°
Fractional coordinates of all 22 atoms:
La 0.0289 0.9711 0.6240
La 0.0289 0.9711 0.8760
La 0.3405 0.6595 0.5451
La 0.3405 0.6595 0.9549
La 0.6595 0.3405 0.0451
La 0.6595 0.3405 0.4549
La 0.9711 0.0289 0.1240
La 0.9711 0.0289 0.3760
Ho 0.0000 0.0000 0.0000
Ho 0.0000 0.0000 0.5000
Ho 0.0274 0.9726 0.7500
Ho 0.3146 0.6854 0.1031
Ho 0.3146 0.6854 0.3969
Ho 0.3592 0.6408 0.6850
Ho 0.3592 0.6408 0.8150
Ho 0.6408 0.3592 0.1850
Ho 0.6408 0.3592 0.3150
Ho 0.6854 0.3146 0.6031
Ho 0.6854 0.3146 0.8969
Ho 0.9726 0.0274 0.2500
Th 0.3085 0.6915 0.2500
Th 0.6915 0.3085 0.7500

Top 10 peaks for 5 to 70 degrees two-theta, by angle:
two_theta, I (rel.)
29.90, 71
30.16, 47
30.79, 63
31.54, 100
31.73, 19
32.78, 40
43.64, 35
55.22, 21
55.46, 16
56.78, 18

***

Computed PXRD pattern
Compound: LaHoTh4
Radiation: CuKα
Structure: a crystal structure in Alexandria, relaxed with PBE
Intensities are scaled so that the largest is 100.

Structure:
Cell: 3.5937 3.5937 15.1726 Å, 90.00 90.00 90.00°
Fractional coordinates of all 6 atoms:
La 0.0000 0.0000 0.0000
Ho 0.5000 0.5000 0.5000
Th 0.0000 0.0000 0.3345
Th 0.0000 0.0000 0.6655
Th 0.5000 0.5000 0.1739
Th 0.5000 0.5000 0.8261

Top 10 peaks for 5 to 70 degrees two-theta, by angle:
two_theta, I (rel.)
11.66, 5
25.47, 2
30.52, 100
35.32, 34
35.50, 16
50.81, 12
50.95, 24
60.44, 30
60.68, 14
63.51, 13

***

Computed PXRD pattern
Compound: La6Ho3Th
Radiation: CuKα
Structure: a crystal structure in Alexandria, relaxed with PBE
Intensities are scaled so that the largest is 100.

Structure:
Cell: 6.3097 3.6666 29.8753 Å, 90.00 93.96 90.00°
Fractional coordinates of all 20 atoms:
La 0.0950 0.0000 0.2993
La 0.1310 0.5000 0.9019
La 0.2047 0.0000 0.5986
La 0.2696 0.0000 0.7981
La 0.3072 0.5000 0.4027
La 0.3602 0.0000 0.0988
La 0.6398 0.0000 0.9012
La 0.6928 0.5000 0.5973
La 0.7304 0.0000 0.2019
La 0.7953 0.0000 0.4014
La 0.8690 0.5000 0.0981
La 0.9050 0.0000 0.7007
Ho 0.0000 0.5000 0.5000
Ho 0.2318 0.5000 0.2015
Ho 0.4060 0.5000 0.7001
Ho 0.5000 0.5000 0.0000
Ho 0.5940 0.5000 0.2999
Ho 0.7682 0.5000 0.7985
Th 0.0000 0.0000 0.0000
Th 0.5000 0.0000 0.5000

Top 10 peaks for 5 to 70 degrees two-theta, by angle:
two_theta, I (rel.)
29.29, 34
29.96, 100
30.27, 46
30.38, 24
33.03, 23
34.09, 31
34.73, 32
49.98, 41
59.17, 28
59.39, 57

***

Computed PXRD pattern
Compound: La12Ho7Th
Radiation: CuKα
Structure: a crystal structure in Alexandria, relaxed with PBE
Intensities are scaled so that the largest is 100.

Structure:
Cell: 11.5313 11.5313 11.5313 Å, 116.67 116.67 116.67°
Fractional coordinates of all 20 atoms:
La 0.0000 0.4064 0.5936
La 0.0000 0.5936 0.4064
La 0.0747 0.0747 0.4307
La 0.0747 0.4307 0.0747
La 0.4064 0.0000 0.5936
La 0.4064 0.5936 0.0000
La 0.4307 0.0747 0.0747
La 0.5693 0.9253 0.9253
La 0.5936 0.0000 0.4064
La 0.5936 0.4064 0.0000
La 0.9253 0.5693 0.9253
La 0.9253 0.9253 0.5693
Ho 0.0000 0.0000 0.0000
Ho 0.1300 0.3800 0.3800
Ho 0.3800 0.1300 0.3800
Ho 0.3800 0.3800 0.1300
Ho 0.6200 0.6200 0.8700
Ho 0.6200 0.8700 0.6200
Ho 0.8700 0.6200 0.6200
Th 0.5000 0.5000 0.5000

Top 10 peaks for 5 to 70 degrees two-theta, by angle:
two_theta, I (rel.)
9.01, 37
27.26, 65
29.77, 100
29.89, 56
32.50, 47
32.90, 52
33.90, 40
38.68, 45
46.25, 31
47.01, 33

***

Computed PXRD pattern
Compound: La2Ho6Th
Radiation: CuKα
Structure: a crystal structure in Alexandria, relaxed with PBE
Intensities are scaled so that the largest is 100.

Structure:
Cell: 3.5726 3.5726 26.7057 Å, 90.00 90.00 120.00°
Fractional coordinates of all 9 atoms:
La 0.0000 0.0000 0.1708
La 0.0000 0.0000 0.8292
Ho 0.0000 0.0000 0.3914
Ho 0.0000 0.0000 0.6086
Ho 0.6667 0.3333 0.0618
Ho 0.6667 0.3333 0.2867
Ho 0.6667 0.3333 0.7133
Ho 0.6667 0.3333 0.9382
Th 0.6667 0.3333 0.5000

Top 10 peaks for 5 to 70 degrees two-theta, by angle:
two_theta, I (rel.)
28.86, 45
30.12, 44
31.88, 61
33.47, 100
42.20, 29
51.14, 34
56.69, 29
60.50, 37
61.53, 9
62.51, 19

***

Computed PXRD pattern
Compound: La2Ho8Th
Radiation: CuKα
Structure: a crystal structure in Alexandria, relaxed with PBE
Intensities are scaled so that the largest is 100.

Structure:
Cell: 9.4478 9.4478 7.9856 Å, 104.60 104.60 31.12°
Fractional coordinates of all 11 atoms:
La 0.2282 0.2282 0.1352
La 0.7718 0.7718 0.8648
Ho 0.0431 0.0431 0.2318
Ho 0.1332 0.1332 0.6731
Ho 0.3209 0.3209 0.5944
Ho 0.4119 0.4119 0.0497
Ho 0.5881 0.5881 0.9503
Ho 0.6791 0.6791 0.4056
Ho 0.8668 0.8668 0.3269
Ho 0.9569 0.9569 0.7682
Th 0.5000 0.5000 0.5000

Top 10 peaks for 5 to 70 degrees two-theta, by angle:
two_theta, I (rel.)
10.07, 4
30.61, 100
30.64, 100
35.42, 34
35.55, 67
51.06, 48
51.15, 24
60.64, 29
60.81, 56
63.76, 25